Entry 1:
Computed X-ray powder pattern of Lu3Os for λ = 1.5418 Å (Cu Kα), from DFT lattice parameters and positions (PBE).
Neutral-atom scattering factors, no anomalous dispersion.

Principal peaks in the range 2θ from 10° to 90°, in order of rising 2θ:
(2 1 1), 2θ = 30.23°, 2.957 Å, I 48
(1 0 2), 2θ = 31.53°, 2.837 Å, I 45
(2 2 0), 2θ = 31.81°, 2.813 Å, I 70
(1 1 2), 2θ = 33.16°, 2.702 Å, I 100
(0 3 1), 2θ = 33.69°, 2.660 Å, I 76
(2 2 1), 2θ = 35.07°, 2.559 Å, I 82
(0 2 2), 2θ = 35.51°, 2.528 Å, I 41
(1 3 1), 2θ = 35.94°, 2.499 Å, I 86
(2 3 0), 2θ = 39.30°, 2.293 Å, I 51
(3 0 1), 2θ = 39.88°, 2.260 Å, I 50
(3 1 1), 2θ = 41.22°, 2.190 Å, I 39
(1 2 3), 2θ = 50.57°, 1.805 Å, I 49

Structural model:
```
Lu3Os
1.0
7.290 0.000 0.000
0.000 8.848 0.000
0.000 0.000 6.161
Lu Os
12 4
direct
0.039 0.250 0.129
0.176 0.062 0.667
0.176 0.438 0.667
0.324 0.562 0.167
0.324 0.938 0.167
0.461 0.750 0.629
0.539 0.250 0.371
0.676 0.062 0.833
0.676 0.438 0.833
0.824 0.562 0.333
0.824 0.938 0.333
0.961 0.750 0.871
0.117 0.750 0.461
0.383 0.250 0.961
0.617 0.750 0.039
0.883 0.250 0.539
```

***

Entry 2:
Computed X-ray powder pattern of Lu3Si13Os4 for λ = 1.5418 Å (Cu Kα), from DFT lattice parameters and positions (PBE).
Neutral-atom scattering factors, no anomalous dispersion.

Principal peaks in the range 2θ from 10° to 90°, in order of rising 2θ:
(2 0 0), 2θ = 20.27°, 4.380 Å, I 65
(2 1 0), 2θ = 22.70°, 3.918 Å, I 60
(2 2 0), 2θ = 28.83°, 3.097 Å, I 44
(2 2 2), 2θ = 35.50°, 2.529 Å, I 100
(3 2 0), 2θ = 37.00°, 2.430 Å, I 52
(3 2 1), 2θ = 38.45°, 2.341 Å, I 20
(4 0 0), 2θ = 41.22°, 2.190 Å, I 67
(4 2 0), 2θ = 46.35°, 1.959 Å, I 34
(4 2 2), 2θ = 51.08°, 1.788 Å, I 38
(5 2 0), 2θ = 56.58°, 1.627 Å, I 21
(4 4 0), 2θ = 59.71°, 1.549 Å, I 34
(6 2 2), 2θ = 71.43°, 1.321 Å, I 45

Structural model:
```
Lu3Si13Os4
1.0
8.760 0.000 0.000
0.000 8.760 0.000
0.000 0.000 8.760
Lu Si Os
6 26 8
direct
0.000 0.250 0.500
0.000 0.750 0.500
0.250 0.500 0.000
0.500 0.000 0.250
0.500 0.000 0.750
0.750 0.500 0.000
0.000 0.000 0.000
0.000 0.284 0.138
0.000 0.284 0.862
0.000 0.716 0.138
0.000 0.716 0.862
0.138 0.000 0.284
0.138 0.000 0.716
0.216 0.500 0.362
0.216 0.500 0.638
0.284 0.138 0.000
0.284 0.862 0.000
0.362 0.216 0.500
0.362 0.784 0.500
0.500 0.362 0.216
0.500 0.362 0.784
0.500 0.500 0.500
0.500 0.638 0.216
0.500 0.638 0.784
0.638 0.216 0.500
0.638 0.784 0.500
0.716 0.138 0.000
0.716 0.862 0.000
0.784 0.500 0.362
0.784 0.500 0.638
0.862 0.000 0.284
0.862 0.000 0.716
0.250 0.250 0.250
0.250 0.250 0.750
0.250 0.750 0.250
0.250 0.750 0.750
0.750 0.250 0.250
0.750 0.250 0.750
0.750 0.750 0.250
0.750 0.750 0.750
```

***

Entry 3:
Computed X-ray powder pattern of LuP5 for λ = 1.5418 Å (Cu Kα), from DFT lattice parameters and positions (PBE).
Neutral-atom scattering factors, no anomalous dispersion.

Principal peaks in the range 2θ from 10° to 90°, in order of rising 2θ:
(1 0 0), 2θ = 18.52°, 4.791 Å, I 33
(0 2 0), 2θ = 19.03°, 4.663 Å, I 39
(0 1 1), 2θ = 19.63°, 4.523 Å, I 57
(1 1 -1), 2θ = 24.39°, 3.649 Å, I 64
(1 2 0), 2θ = 26.68°, 3.341 Å, I 100
(1 0 1), 2θ = 27.98°, 3.189 Å, I 30
(1 1 1), 2θ = 29.59°, 3.019 Å, I 94
(0 3 1), 2θ = 33.64°, 2.664 Å, I 34
(0 1 2), 2θ = 36.04°, 2.492 Å, I 46
(2 2 0), 2θ = 42.43°, 2.131 Å, I 27
(1 4 0), 2θ = 43.15°, 2.096 Å, I 26
(1 3 -2), 2θ = 46.47°, 1.954 Å, I 28

Structural model:
```
LuP5
1.0
4.905 0.000 0.000
0.000 9.325 0.000
-1.140 0.000 5.172
Lu P
2 10
direct
0.002 0.250 0.347
0.998 0.750 0.653
0.269 0.250 0.890
0.282 0.528 0.406
0.282 0.972 0.406
0.383 0.594 0.042
0.383 0.906 0.042
0.617 0.094 0.958
0.617 0.406 0.958
0.718 0.028 0.594
0.718 0.472 0.594
0.731 0.750 0.110
```

***

Entry 4:
Computed X-ray powder pattern of LuPPd for λ = 1.5418 Å (Cu Kα), from DFT lattice parameters and positions (PBE).
Neutral-atom scattering factors, no anomalous dispersion.

Principal peaks in the range 2θ from 10° to 90°, in order of rising 2θ:
(0 1 1), 2θ = 25.30°, 3.520 Å, I 35
(2 0 0), 2θ = 26.26°, 3.394 Å, I 18
(2 1 0), 2θ = 34.82°, 2.577 Å, I 50
(1 1 2), 2θ = 35.11°, 2.556 Å, I 100
(2 0 2), 2θ = 35.26°, 2.546 Å, I 29
(2 1 1), 2θ = 36.79°, 2.443 Å, I 98
(1 0 3), 2θ = 37.47°, 2.400 Å, I 50
(3 0 1), 2θ = 41.60°, 2.171 Å, I 24
(0 1 3), 2θ = 41.97°, 2.153 Å, I 34
(0 2 0), 2θ = 45.86°, 1.979 Å, I 39
(1 2 3), 2θ = 60.63°, 1.527 Å, I 37
(3 1 4), 2θ = 68.23°, 1.375 Å, I 30

Structural model:
```
LuPPd
1.0
6.789 0.000 0.000
0.000 3.958 0.000
0.000 0.000 7.697
Lu P Pd
4 4 4
direct
0.030 0.250 0.185
0.470 0.750 0.685
0.530 0.250 0.315
0.970 0.750 0.815
0.250 0.250 0.876
0.250 0.750 0.376
0.750 0.250 0.624
0.750 0.750 0.124
0.146 0.250 0.562
0.354 0.750 0.062
0.646 0.250 0.938
0.854 0.750 0.438
```